(1)
LiFeOF: simulated powder diffractogram (a wavelength of 1.5418 Å), based on a cell relaxed with PBE+U.
Peak positions follow from Bragg's law for the DFT cell and can differ from measured ones.

Structural model:
Unit cell a=2.9589 b=4.5156 c=3.0228 alpha=90.00 beta=91.77 gamma=90.00
Space group P2 (No. 3)
Symmetry-distinct sites (fractional):
1 Li 0.0000 0.0000 0.0000
2 Fe 0.5000 0.5038 0.5000
3 O 0.0000 0.5071 0.0000
4 F 0.5000 0.0052 0.5000

The 10 most intense peaks (10 to 90 degrees two-theta), in order of rising 2θ:
two_theta, Rel. int., hkl
19.66, 100, 0 1 0
29.57, 44, 0 0 1
30.22, 42, 1 0 0
39.93, 58, 0 2 0
42.09, 49, 1 0 -1
43.47, 44, 1 0 1
46.86, 18, 1 1 -1
50.46, 18, 0 2 1
59.41, 30, 1 2 -1
60.49, 28, 1 2 1


(2)
Li2Fe4O3F8: simulated powder diffractogram (a wavelength of 1.5418 Å), based on a cell relaxed with PBE+U.
Peak positions follow from Bragg's law for the DFT cell and can differ from measured ones.

Structural model:
Unit cell a=5.0815 b=6.6780 c=6.8610 alpha=108.64 beta=105.74 gamma=96.67
Space group P-1 (No. 2)
Symmetry-distinct sites (fractional):
1 Li 0.1792 0.3911 0.1634
2 Fe 0.2498 0.9718 0.4093
3 Fe 0.3778 0.7591 0.8446
4 O 0.0000 0.0000 0.5000
5 O 0.4718 0.0502 0.7643
6 F 0.1163 0.8013 0.9864
7 F 0.2038 0.6617 0.4462
8 F 0.2887 0.4780 0.8722
9 F 0.3579 0.2546 0.3039

The 10 most intense peaks (10 to 90 degrees two-theta), in order of rising 2θ:
two_theta, Rel. int., hkl
14.36, 100, 0 1 0
18.61, 32, 1 0 0
20.86, 47, 1 -1 0
23.90, 98, 0 1 1
25.92, 54, 1 -1 1
27.17, 47, 0 2 -1
27.27, 40, 0 1 -2
35.65, 28, 2 0 -1
39.78, 82, 1 0 2
40.84, 77, 0 3 -1


(3)
Li8FeO4F2: simulated powder diffractogram (a wavelength of 1.5418 Å), based on a cell relaxed with PBE+U.
Peak positions follow from Bragg's law for the DFT cell and can differ from measured ones.

Structural model:
Unit cell a=5.4305 b=5.5854 c=5.9358 alpha=93.62 beta=111.00 gamma=117.34
Space group P-1 (No. 2)
Symmetry-distinct sites (fractional):
1 Li 0.0831 0.0841 0.3493
2 Li 0.2407 0.5177 0.6412
3 Li 0.2808 0.3544 0.0580
4 Li 0.4114 0.7915 0.3619
5 Fe 0.5000 0.0000 0.0000
6 O 0.3185 0.2435 0.7560
7 O 0.3978 0.1142 0.2605
8 F 0.0467 0.4175 0.2738

The 10 most intense peaks (10 to 90 degrees two-theta), in order of rising 2θ:
two_theta, Rel. int., hkl
16.64, 42, 0 0 1
18.60, 41, 0 1 0
19.26, 48, 1 -1 0
19.96, 59, 1 0 -1
20.47, 63, 1 0 0
21.32, 57, 0 1 -1
22.86, 34, -1 1 1
34.39, 100, 1 1 0
35.77, 84, 1 -2 1
39.20, 38, -2 1 2


(4)
Li6FeO5F: simulated powder diffractogram (a wavelength of 1.5418 Å), based on a cell relaxed with PBE+U.
Peak positions follow from Bragg's law for the DFT cell and can differ from measured ones.

Structural model:
Unit cell a=5.5306 b=5.6206 c=10.5469 alpha=88.61 beta=89.87 gamma=60.91
Space group P1 (No. 1)
Symmetry-distinct sites (fractional):
1 Li 0.0000 0.0000 0.0000
2 Li 0.9999 0.3490 0.5170
3 Li 0.0114 0.6821 0.6832
4 Li 0.3426 0.4032 0.3950
5 Li 0.3468 0.7474 0.5143
6 Li 0.3581 0.3438 0.0202
7 Li 0.5974 0.7406 0.0218
8 Li 0.6520 0.3495 0.6901
9 Li 0.6800 0.3543 0.1868
10 Li 0.7021 0.9859 0.5101
11 Li 0.9521 0.4053 0.8935
12 Li 0.9896 0.6896 0.1901
13 Fe 0.3281 0.0255 0.2585
14 Fe 0.3374 0.0223 0.7585
15 O 0.0162 0.3264 0.7135
16 O 0.0399 0.0184 0.1843
17 O 0.0491 0.6677 0.4927
18 O 0.3087 0.0629 0.9283
19 O 0.3287 0.3412 0.2141
20 O 0.3420 0.7247 0.6962
21 O 0.3508 0.0528 0.4291
22 O 0.6221 0.7176 0.2092
23 O 0.6541 0.9972 0.7032
24 O 0.6861 0.3643 0.9917
25 F 0.6557 0.3580 0.4914
26 F 0.9890 0.6686 0.9908

The 10 most intense peaks (10 to 90 degrees two-theta), in order of rising 2θ:
two_theta, Rel. int., hkl
16.82, 48, 0 0 2
18.07, 56, 0 1 0
18.36, 72, 1 0 0
18.46, 73, 1 1 0
24.87, 77, 1 0 -2
25.12, 100, 0 1 -2
25.27, 54, 1 1 -2
31.86, 38, 1 2 0
32.38, 36, 2 1 0
34.01, 72, 0 0 4


Repeat the second record exactly.
Li2Fe4O3F8: simulated powder diffractogram (a wavelength of 1.5418 Å), based on a cell relaxed with PBE+U.
Peak positions follow from Bragg's law for the DFT cell and can differ from measured ones.

Structural model:
Unit cell a=5.0815 b=6.6780 c=6.8610 alpha=108.64 beta=105.74 gamma=96.67
Space group P-1 (No. 2)
Symmetry-distinct sites (fractional):
1 Li 0.1792 0.3911 0.1634
2 Fe 0.2498 0.9718 0.4093
3 Fe 0.3778 0.7591 0.8446
4 O 0.0000 0.0000 0.5000
5 O 0.4718 0.0502 0.7643
6 F 0.1163 0.8013 0.9864
7 F 0.2038 0.6617 0.4462
8 F 0.2887 0.4780 0.8722
9 F 0.3579 0.2546 0.3039

The 10 most intense peaks (10 to 90 degrees two-theta), in order of rising 2θ:
two_theta, Rel. int., hkl
14.36, 100, 0 1 0
18.61, 32, 1 0 0
20.86, 47, 1 -1 0
23.90, 98, 0 1 1
25.92, 54, 1 -1 1
27.17, 47, 0 2 -1
27.27, 40, 0 1 -2
35.65, 28, 2 0 -1
39.78, 82, 1 0 2
40.84, 77, 0 3 -1